The following is a computed powder diffractogram of AsPtBr6. It was derived from a cell relaxed with GGA-PBE, using Cu Kα (weighted mean of Kα1 and Kα2).

Principal peaks in the range 15° ≤ 2θ ≤ 90°, in order of falling intensity:
| 2θ (°) | I/Imax | index |
| --- | --- | --- |
| 36.39 | 100.0 | 4 0 0 |
| 15.54 | 81.0 | 1 1 1 |
| 17.96 | 78.2 | 2 0 0 |
| 52.41 | 69.1 | 4 4 0 |
| 31.38 | 49.9 | 2 2 2 |
| 30.01 | 48.6 | 3 1 1 |
| 40.86 | 38.7 | 4 2 0 |
| 88.56 | 32.5 | 8 4 0 |
| 65.48 | 23.5 | 4 4 4 |
| 39.78 | 22.0 | 3 3 1 |

Atomic structure:
```
data_AsPtBr6
_cell_length_a 9.876
_cell_length_b 9.876
_cell_length_c 9.876
_cell_angle_alpha 90.00
_cell_angle_beta 90.00
_cell_angle_gamma 90.00
_symmetry_space_group_name_H-M 'F -4 3 m'
_symmetry_Int_Tables_number 216
_symmetry_space_group_name_Hall 'F -4 2 3'
loop_
_atom_site_label
_atom_site_fract_x
_atom_site_fract_y
_atom_site_fract_z
As1 0.000 0.000 0.000
Pt1 0.250 0.250 0.250
Br1 0.001 0.250 0.250
```

=====

The following is a computed powder diffractogram of Co7Re6. It was derived from a cell relaxed with GGA-PBE, using Cu Kα (weighted mean of Kα1 and Kα2).

Principal peaks in the range 15° ≤ 2θ ≤ 90°, in order of falling intensity:
| 2θ (°) | I/Imax | index |
| --- | --- | --- |
| 38.79 | 100.0 | 1 1 0 |
| 44.53 | 74.6 | 1 1 6 |
| 42.16 | 67.6 | 1 0 10 |
| 45.38 | 45.3 | 0 1 11 |
| 72.52 | 27.4 | 2 1 10 |
| 83.22 | 23.5 | 2 2 0 |
| 45.24 | 23.4 | 0 2 1 |
| 74.85 | 20.3 | 1 2 11 |
| 70.21 | 18.0 | 3 0 0 |
| 74.23 | 16.2 | 0 3 6 |

Atomic structure:
```
data_Co7Re6
_cell_length_a 4.6435
_cell_length_b 4.6435
_cell_length_c 25.3345
_cell_angle_alpha 90.00
_cell_angle_beta 90.00
_cell_angle_gamma 120.00
_symmetry_space_group_name_H-M 'R -3 m'
_symmetry_Int_Tables_number 166
_symmetry_space_group_name_Hall '-R 3 2"'
loop_
_atom_site_label
_atom_site_fract_x
_atom_site_fract_y
_atom_site_fract_z
Co1 0.0000 0.0000 0.0000
Co2 0.0008 0.5004 0.4100
Re1 0.0000 0.0000 0.1662
Re2 0.0000 0.0000 0.3473
Re3 0.0000 0.0000 0.4515
```

=====

The following is a computed powder diffractogram of LaTb2Zn2Si4Au2. It was derived from a cell relaxed with GGA-PBE, using Cu Kα (weighted mean of Kα1 and Kα2).

Principal peaks in the range 15° ≤ 2θ ≤ 90°, in order of falling intensity:
| 2θ (°) | I/Imax | index |
| --- | --- | --- |
| 33.37 | 100.0 | 1 1 4 |
| 33.09 | 23.9 | 0 1 7 |
| 42.77 | 17.9 | 0 2 0 |
| 43.00 | 17.7 | 2 0 0 |
| 28.94 | 14.9 | 0 0 8 |
| 23.75 | 14.6 | 1 0 3 |
| 37.24 | 14.4 | 1 1 6 |
| 62.26 | 11.7 | 2 2 0 |
| 45.83 | 11.0 | 1 0 11 |
| 72.34 | 10.7 | 1 3 4 |

Atomic structure:
```
data_LaTb2Zn2Si4Au2
_cell_length_a 4.207
_cell_length_b 4.229
_cell_length_c 24.683
_cell_angle_alpha 90.00
_cell_angle_beta 90.00
_cell_angle_gamma 90.00
_symmetry_space_group_name_H-M 'I m m m'
_symmetry_Int_Tables_number 71
_symmetry_space_group_name_Hall '-I 2 2'
loop_
_atom_site_label
_atom_site_fract_x
_atom_site_fract_y
_atom_site_fract_z
La1 0.000 0.000 0.000
Tb1 0.000 0.500 0.354
Zn1 0.000 0.500 0.096
Si1 0.000 0.000 0.451
Si2 0.000 0.500 0.190
Au1 0.000 0.000 0.251
```

=====

The following is a computed powder diffractogram of Co2Pt. It was derived from a cell relaxed with GGA-PBE, using Cu Kα (weighted mean of Kα1 and Kα2).

Principal peaks in the range 15° ≤ 2θ ≤ 90°, in order of falling intensity:
| 2θ (°) | I/Imax | index |
| --- | --- | --- |
| 44.90 | 100.0 | 3 1 1 |
| 38.01 | 75.6 | 2 2 0 |
| 73.49 | 30.2 | 5 1 1 |
| 68.67 | 27.3 | 4 2 2 |
| 23.01 | 25.3 | 1 1 1 |
| 81.28 | 21.7 | 4 4 0 |
| 47.01 | 11.1 | 2 2 2 |
| 60.24 | 6.5 | 3 3 1 |
| 85.86 | 5.5 | 5 3 1 |
| 54.84 | 1.9 | 4 0 0 |

Atomic structure:
Cell lengths 6.696, 6.696, 6.696 Å; angles 90.00, 90.00, 90.00 degrees
Space group Fd-3m (No. 227, origin choice 2)
Unique sites:
Co (0.000, 0.000, 0.000) x16
Pt (0.125, 0.125, 0.625) x8

=====

The following is a computed powder diffractogram of FeSb2Se4Br. It was derived from a cell relaxed with GGA-PBE, using Cu Kα (weighted mean of Kα1 and Kα2).

Principal peaks in the range 15° ≤ 2θ ≤ 90°, in order of falling intensity:
| 2θ (°) | I/Imax | index |
| --- | --- | --- |
| 31.29 | 100.0 | 5 1 -2 |
| 30.30 | 59.7 | 2 0 -4 |
| 31.48 | 56.2 | 5 1 -1 |
| 33.49 | 43.9 | 5 1 -3 |
| 31.03 | 40.6 | 3 1 1 |
| 46.30 | 37.9 | 0 2 0 |
| 45.06 | 35.5 | 7 1 -5 |
| 32.90 | 20.6 | 4 0 2 |
| 56.34 | 20.2 | 2 2 -4 |
| 43.44 | 19.4 | 3 1 3 |

Atomic structure:
```
data_FeSb2Se4Br
_cell_length_a 21.187
_cell_length_b 3.922
_cell_length_c 12.315
_cell_angle_alpha 90.00
_cell_angle_beta 122.83
_cell_angle_gamma 90.00
_symmetry_space_group_name_H-M 'C 1 2/m 1'
_symmetry_Int_Tables_number 12
loop_
_symmetry_equiv_pos_as_xyz
'x,y,z'
'-x,-y,-z'
'-x,y,-z'
'x,-y,z'
'x+1/2,y+1/2,z'
'-x+1/2,-y+1/2,-z'
'-x+1/2,y+1/2,-z'
'x+1/2,-y+1/2,z'
loop_
_atom_site_label
_atom_site_fract_x
_atom_site_fract_y
_atom_site_fract_z
Fe1 0.177 0.000 0.445
Sb1 0.032 0.500 0.757
Sb2 0.205 0.000 0.089
Se1 0.055 0.000 0.236
Se2 0.093 0.500 0.012
Se3 0.174 0.000 0.853
Se4 0.207 0.500 0.355
Br1 0.120 0.500 0.532
```

=====

The following is a computed powder diffractogram of Hf3As4C4. It was derived from a cell relaxed with GGA-PBE, using Cu Kα (weighted mean of Kα1 and Kα2).

Principal peaks in the range 15° ≤ 2θ ≤ 90°, in order of falling intensity:
| 2θ (°) | I/Imax | index |
| --- | --- | --- |
| 35.67 | 100.0 | 0 1 2 |
| 28.30 | 44.3 | 1 0 2 |
| 32.82 | 41.8 | 1 1 1 |
| 37.20 | 40.4 | 1 1 -2 |
| 39.12 | 39.6 | 2 1 -1 |
| 26.95 | 34.2 | 2 0 0 |
| 38.30 | 32.2 | 2 1 0 |
| 40.92 | 31.9 | 3 0 0 |
| 39.33 | 30.3 | 1 0 3 |
| 57.72 | 27.9 | 3 1 2 |

Atomic structure:
```
data_Hf3As4C4
_cell_length_a 6.665
_cell_length_b 3.340
_cell_length_c 7.713
_cell_angle_alpha 90.00
_cell_angle_beta 96.92
_cell_angle_gamma 90.00
_symmetry_space_group_name_H-M 'P 1 m 1'
_symmetry_Int_Tables_number 6
loop_
_symmetry_equiv_pos_as_xyz
'x,y,z'
'x,-y,z'
loop_
_atom_site_label
_atom_site_fract_x
_atom_site_fract_y
_atom_site_fract_z
Hf1 0.000 0.000 0.000
Hf2 0.045 0.000 0.430
Hf3 0.652 0.500 0.154
As1 0.273 0.500 0.272
As2 0.423 0.000 0.815
As3 0.630 0.000 0.452
As4 0.992 0.500 0.710
C1 0.258 0.500 0.876
C2 0.385 0.000 0.558
C3 0.665 0.000 0.974
C4 0.972 0.500 0.200
```